For RbF6, a PBE-relaxed structure gives the computed powder XRD pattern in this record (Cu Kα).

Top 10 peaks for 10 to 80 degrees two-theta, sorted by position:
2theta	intensity
17.5	28
18.2	21
25.4	47
31.4	100
36.9	74
40.2	35
44.4	26
53.2	22
55.7	25
63.1	22

Structural model:
```
data_RbF6
_symmetry_space_group_name_H-M 'P 4/m m m'
_symmetry_Int_Tables_number 123
_symmetry_space_group_name_Hall '-P 4 2'
_cell_length_a 4.8720
_cell_length_b 4.8720
_cell_length_c 5.0601
_cell_angle_alpha 90.00
_cell_angle_beta 90.00
_cell_angle_gamma 90.00
loop_
_atom_site_label
_atom_site_type_symbol
_atom_site_fract_x
_atom_site_fract_y
_atom_site_fract_z
_atom_site_occupancy
Rb1 Rb 0.0000 0.0000 0.0000 1
F1 F 0.0000 0.5000 0.3156 1
F2 F 0.5000 0.5000 0.1853 1
```